Entry 1:
This entry pairs a crystal structure of AlH3O3 with its theoretical powder XRD pattern. Radiation: λ = 1.5418 Å (Cu Kα). Structure: a structure optimized by DFT (GGA-PBE).

Structure:
Lattice parameters (Å, degrees): 5.0192 7.0484 5.0339 90.00 90.00 90.00
Element x y z (fractional)
Al (0.0000, 0.0000, 0.0000)
Al (0.0000, 0.5000, 0.0000)
Al (0.5000, 0.0000, 0.5000)
Al (0.5000, 0.5000, 0.5000)
H (0.0000, 0.0000, 0.5000)
H (0.0000, 0.5000, 0.5000)
H (0.1514, 0.2500, 0.3527)
H (0.2366, 0.2500, 0.7938)
H (0.2634, 0.7500, 0.2938)
H (0.3486, 0.7500, 0.8527)
H (0.5000, 0.0000, 0.0000)
H (0.5000, 0.5000, 0.0000)
H (0.6514, 0.2500, 0.1473)
H (0.7366, 0.2500, 0.7062)
H (0.7634, 0.7500, 0.2062)
H (0.8486, 0.7500, 0.6473)
O (0.0574, 0.2500, 0.8762)
O (0.1617, 0.0734, 0.3486)
O (0.1617, 0.4266, 0.3486)
O (0.3383, 0.5734, 0.8486)
O (0.3383, 0.9266, 0.8486)
O (0.4426, 0.7500, 0.3762)
O (0.5574, 0.2500, 0.6238)
O (0.6617, 0.0734, 0.1514)
O (0.6617, 0.4266, 0.1514)
O (0.8383, 0.5734, 0.6514)
O (0.8383, 0.9266, 0.6514)
O (0.9426, 0.7500, 0.1238)

Most intense lines, 10° ≤ 2θ ≤ 90°, sorted by position:
| 2theta | I (rel.) | hkl |
| --- | --- | --- |
| 25.1 | 100 | 1 0 1 |
| 25.3 | 62 | 0 2 0 |
| 40.1 | 56 | 1 0 2 |
| 42.2 | 47 | 1 1 2 |
| 42.5 | 46 | 0 3 1 |
| 58.1 | 53 | 3 0 1 |
| 58.5 | 37 | 1 4 1 |
| 64.2 | 35 | 1 2 3 |

---

Entry 2:
This entry pairs a crystal structure of AlH3O3 with its theoretical powder XRD pattern. Radiation: λ = 1.5418 Å (Cu Kα). Structure: a structure optimized by DFT (GGA-PBE).

Structure:
Lattice parameters (Å, degrees): 5.1725 6.3228 6.7534 83.65 85.04 81.30
Element x y z (fractional)
Al (0.0000, 0.0000, 0.0000)
Al (0.0146, 0.6587, 0.3314)
Al (0.4836, 0.1616, 0.8353)
Al (0.5312, 0.4960, 0.4958)
H (0.1630, 0.5018, 0.7409)
H (0.1841, 0.2818, 0.4752)
H (0.2379, 0.9295, 0.6506)
H (0.2677, 0.2335, 0.1751)
H (0.2681, 0.6196, 0.9822)
H (0.3750, 0.8624, 0.3456)
H (0.6421, 0.7970, 0.9893)
H (0.7483, 0.4227, 0.1567)
H (0.7653, 0.0410, 0.3550)
H (0.7738, 0.7298, 0.6784)
H (0.8256, 0.3796, 0.8578)
H (0.8570, 0.1643, 0.6024)
O (0.1649, 0.7187, 0.0711)
O (0.1955, 0.0462, 0.7412)
O (0.2496, 0.3913, 0.3785)
O (0.2757, 0.1341, 0.0710)
O (0.3013, 0.7637, 0.4496)
O (0.3502, 0.4582, 0.7569)
O (0.6714, 0.1995, 0.5752)
O (0.7129, 0.8945, 0.8828)
O (0.7379, 0.5245, 0.2592)
O (0.7647, 0.2668, 0.9534)
O (0.8183, 0.6129, 0.5887)
O (0.8480, 0.9396, 0.2602)

Most intense lines, 10° ≤ 2θ ≤ 90°, sorted by position:
| 2theta | I (rel.) | hkl |
| --- | --- | --- |
| 18.5 | 100 | 0 1 1 |
| 20.4 | 19 | 0 1 -1 |
| 21.1 | 17 | 1 0 1 |
| 37.2 | 26 | 2 1 1 |
| 39.0 | 28 | 1 -2 1 |
| 45.5 | 30 | 1 0 -3 |
| 47.7 | 25 | 2 2 2 |
| 49.8 | 20 | 1 -3 0 |

---

Entry 3:
This entry pairs a crystal structure of AlH3O3 with its theoretical powder XRD pattern. Radiation: λ = 1.5418 Å (Cu Kα). Structure: a structure optimized by DFT (GGA-PBE).

Structure:
Lattice parameters (Å, degrees): 5.0597 6.2853 7.0381 83.38 80.89 81.41
Element x y z (fractional)
Al (0.0192, 0.1651, 0.3363)
Al (0.4697, 0.6648, 0.8342)
Al (0.5303, 0.3352, 0.1658)
Al (0.9808, 0.8349, 0.6637)
H (0.1197, 0.5789, 0.1213)
H (0.2062, 0.0407, 0.8733)
H (0.2192, 0.7675, 0.3219)
H (0.2350, 0.4717, 0.6219)
H (0.3600, 0.0200, 0.1133)
H (0.4044, 0.1941, 0.4990)
H (0.5956, 0.8059, 0.5010)
H (0.6400, 0.9800, 0.8867)
H (0.7650, 0.5283, 0.3781)
H (0.7808, 0.2325, 0.6781)
H (0.7938, 0.9593, 0.1267)
H (0.8803, 0.4211, 0.8787)
O (0.1782, 0.8783, 0.4140)
O (0.1875, 0.5628, 0.7314)
O (0.2459, 0.9288, 0.7829)
O (0.2710, 0.1684, 0.0945)
O (0.3006, 0.3009, 0.4166)
O (0.3108, 0.6028, 0.1014)
O (0.6892, 0.3972, 0.8986)
O (0.6994, 0.6991, 0.5834)
O (0.7290, 0.8316, 0.9055)
O (0.7541, 0.0712, 0.2171)
O (0.8125, 0.4372, 0.2686)
O (0.8218, 0.1217, 0.5860)

Most intense lines, 10° ≤ 2θ ≤ 90°, sorted by position:
| 2theta | I (rel.) | hkl |
| --- | --- | --- |
| 18.3 | 100 | 0 1 1 |
| 20.1 | 22 | 0 1 -1 |
| 20.5 | 20 | 1 0 1 |
| 36.8 | 18 | 1 1 -2 |
| 38.6 | 30 | 1 -2 1 |
| 45.7 | 30 | 1 0 -3 |
| 46.8 | 27 | 2 2 2 |
| 50.1 | 19 | 1 -3 0 |

---

Entry 4:
This entry pairs a crystal structure of AlH3O3 with its theoretical powder XRD pattern. Radiation: λ = 1.5418 Å (Cu Kα). Structure: a structure optimized by DFT (GGA-PBE).

Structure:
Lattice parameters (Å, degrees): 5.0243 8.8607 9.7096 90.98 90.05 90.06
Element x y z (fractional)
Al (0.0000, 0.0000, 0.0000)
Al (0.0024, 0.0124, 0.4982)
Al (0.0490, 0.6744, 0.9976)
Al (0.0621, 0.6801, 0.5016)
Al (0.4964, 0.1697, 0.0006)
Al (0.5099, 0.1837, 0.4972)
Al (0.5556, 0.5023, 0.0000)
Al (0.5585, 0.5104, 0.5016)
H (0.0216, 0.4405, 0.1128)
H (0.0766, 0.2623, 0.6049)
H (0.1515, 0.8566, 0.7031)
H (0.1566, 0.4238, 0.8783)
H (0.1914, 0.1500, 0.7924)
H (0.1988, 0.3685, 0.3933)
H (0.2498, 0.5459, 0.7079)
H (0.3058, 0.0449, 0.2057)
H (0.3613, 0.8580, 0.8924)
H (0.3641, 0.6556, 0.2936)
H (0.3969, 0.9335, 0.3747)
H (0.4116, 0.3482, 0.2054)
H (0.4839, 0.7532, 0.1036)
H (0.5387, 0.9462, 0.6069)
H (0.6337, 0.3406, 0.7035)
H (0.6363, 0.7441, 0.6303)
H (0.6932, 0.0217, 0.7965)
H (0.7137, 0.8034, 0.3822)
H (0.7480, 0.6367, 0.7947)
H (0.8039, 0.1360, 0.2944)
H (0.8418, 0.2920, 0.8820)
H (0.8632, 0.5319, 0.2977)
H (0.9224, 0.2333, 0.1304)
H (0.9289, 0.8355, 0.2032)
O (0.1673, 0.8416, 0.8876)
O (0.1735, 0.1626, 0.8937)
O (0.1808, 0.8594, 0.6019)
O (0.1834, 0.1694, 0.6034)
O (0.2414, 0.5223, 0.8881)
O (0.2478, 0.5423, 0.6059)
O (0.3119, 0.0318, 0.1043)
O (0.3158, 0.0328, 0.3858)
O (0.3754, 0.6607, 0.1048)
O (0.3806, 0.3485, 0.1040)
O (0.3834, 0.6727, 0.3945)
O (0.3924, 0.3518, 0.3887)
O (0.6560, 0.3251, 0.8913)
O (0.6683, 0.3401, 0.6034)
O (0.6777, 0.0250, 0.6085)
O (0.6797, 0.0125, 0.8977)
O (0.7377, 0.6443, 0.8962)
O (0.7489, 0.6564, 0.6162)
O (0.8103, 0.1455, 0.1146)
O (0.8202, 0.1544, 0.3948)
O (0.8772, 0.5246, 0.3991)
O (0.8812, 0.5181, 0.1101)
O (0.8919, 0.8312, 0.1033)
O (0.9005, 0.8353, 0.3909)

Most intense lines, 10° ≤ 2θ ≤ 90°, sorted by position:
| 2theta | I (rel.) | hkl |
| --- | --- | --- |
| 18.3 | 100 | 0 0 2 |
| 20.0 | 19 | 0 2 0 |
| 20.3 | 36 | 1 -1 0 |
| 36.6 | 19 | 1 3 1 |
| 37.0 | 19 | 2 0 1 |
| 45.7 | 19 | 2 0 -3 |
| 51.6 | 16 | 1 3 -4 |
| 52.5 | 23 | 1 3 4 |

---

Entry 5:
This entry pairs a crystal structure of AlH3O3 with its theoretical powder XRD pattern. Radiation: λ = 1.5418 Å (Cu Kα). Structure: a structure optimized by DFT (GGA-PBE).

Structure:
Lattice parameters (Å, degrees): 4.8598 5.0422 5.1334 61.27 89.21 89.44
Element x y z (fractional)
Al (0.0000, 0.0000, 0.0000)
Al (0.0009, 0.3322, 0.3437)
H (0.1922, 0.6176, 0.8715)
H (0.2961, 0.8654, 0.4423)
H (0.4081, 0.2200, 0.6701)
H (0.6001, 0.2565, 0.0829)
H (0.6023, 0.6612, 0.2448)
H (0.7363, 0.8577, 0.6744)
O (0.2163, 0.6596, 0.0367)
O (0.2196, 0.2959, 0.6666)
O (0.2259, 0.0489, 0.2768)
O (0.7801, 0.0467, 0.6732)
O (0.7909, 0.6697, 0.3030)
O (0.7972, 0.2964, 0.0463)

Most intense lines, 10° ≤ 2θ ≤ 90°, sorted by position:
| 2theta | I (rel.) | hkl |
| --- | --- | --- |
| 18.3 | 100 | 1 0 0 |
| 19.7 | 24 | 0 0 1 |
| 20.1 | 25 | 0 1 0 |
| 20.3 | 23 | 0 1 1 |
| 27.2 | 16 | 1 1 1 |
| 39.5 | 72 | 1 1 -1 |
| 40.5 | 36 | -1 2 1 |
| 51.4 | 20 | 2 1 2 |

---

Entry 6:
This entry pairs a crystal structure of AlH3O3 with its theoretical powder XRD pattern. Radiation: λ = 1.5418 Å (Cu Kα). Structure: a structure optimized by DFT (GGA-PBE).

Structure:
Lattice parameters (Å, degrees): 5.1213 8.8242 9.4765 92.22 91.92 93.11
Element x y z (fractional)
Al (0.0000, 0.0000, 0.0000)
Al (0.0191, 0.3453, 0.0055)
Al (0.4306, 0.3354, 0.5007)
Al (0.4630, 0.8452, 0.0030)
Al (0.4875, 0.9742, 0.5106)
Al (0.5364, 0.5170, 0.0070)
Al (0.9553, 0.4869, 0.5019)
Al (0.9765, 0.8194, 0.5023)
H (0.0205, 0.1805, 0.2000)
H (0.1360, 0.6799, 0.7032)
H (0.1375, 0.5876, 0.8885)
H (0.1419, 0.1190, 0.4298)
H (0.1729, 0.3927, 0.7145)
H (0.1929, 0.9244, 0.7215)
H (0.1941, 0.6408, 0.1234)
H (0.2370, 0.1730, 0.8217)
H (0.2669, 0.4386, 0.2860)
H (0.3027, 0.9811, 0.2166)
H (0.3206, 0.7713, 0.3145)
H (0.4259, 0.2730, 0.1288)
H (0.5777, 0.5655, 0.6447)
H (0.5888, 0.0981, 0.9400)
H (0.6414, 0.6396, 0.3737)
H (0.6544, 0.8113, 0.7065)
H (0.6880, 0.0936, 0.7404)
H (0.6968, 0.3813, 0.8004)
H (0.7607, 0.2730, 0.3188)
H (0.7767, 0.9516, 0.2993)
H (0.8265, 0.7241, 0.8989)
H (0.8492, 0.1816, 0.6243)
H (0.8587, 0.5282, 0.2147)
H (0.8590, 0.7828, 0.1517)
O (0.1050, 0.6568, 0.6026)
O (0.1232, 0.1737, 0.9010)
O (0.1402, 0.3472, 0.6178)
O (0.1487, 0.8437, 0.8971)
O (0.1895, 0.9599, 0.6224)
O (0.2117, 0.4877, 0.8929)
O (0.2507, 0.4612, 0.3889)
O (0.2691, 0.8467, 0.3850)
O (0.3107, 0.9995, 0.1155)
O (0.3305, 0.1448, 0.4257)
O (0.3449, 0.3702, 0.1188)
O (0.3803, 0.6738, 0.1213)
O (0.6379, 0.6897, 0.8982)
O (0.6487, 0.4687, 0.6169)
O (0.6601, 0.0050, 0.9016)
O (0.6689, 0.8285, 0.6061)
O (0.6715, 0.1393, 0.6446)
O (0.6981, 0.3644, 0.9025)
O (0.7437, 0.3296, 0.4078)
O (0.7894, 0.8782, 0.1238)
O (0.7920, 0.9708, 0.4037)
O (0.8318, 0.6437, 0.3847)
O (0.8628, 0.5118, 0.1114)
O (0.8935, 0.1874, 0.1219)

Most intense lines, 10° ≤ 2θ ≤ 90°, sorted by position:
| 2theta | I (rel.) | hkl |
| --- | --- | --- |
| 18.8 | 100 | 0 0 2 |
| 20.2 | 27 | 0 2 0 |
| 21.7 | 16 | -1 1 1 |
| 22.2 | 17 | 1 1 -1 |
| 39.1 | 17 | 1 -3 2 |
| 39.8 | 17 | -1 3 2 |
| 40.1 | 14 | 1 3 -2 |
| 41.9 | 13 | 1 3 2 |